For LiSm4Sn4, a crystal structure in Alexandria, relaxed with PBE gives the computed powder XRD pattern in this record (CuKα).
Kinematic intensities with the Lorentz-polarization factor, no thermal factor.

a = 8.857 Å, b = 8.857 Å, c = 6.437 Å
α = 90.00°, β = 90.00°, γ = 90.00°
Fractional coordinates of all 18 atoms:
Li (0.250, 0.250, 0.250)
Li (0.750, 0.750, 0.750)
Sm (0.018, 0.680, 0.101)
Sm (0.180, 0.982, 0.601)
Sm (0.320, 0.518, 0.601)
Sm (0.482, 0.820, 0.101)
Sm (0.518, 0.180, 0.899)
Sm (0.680, 0.482, 0.399)
Sm (0.820, 0.018, 0.399)
Sm (0.982, 0.320, 0.899)
Sn (0.001, 0.342, 0.408)
Sn (0.158, 0.001, 0.092)
Sn (0.342, 0.499, 0.092)
Sn (0.499, 0.158, 0.408)
Sn (0.501, 0.842, 0.592)
Sn (0.658, 0.501, 0.908)
Sn (0.842, 0.999, 0.908)
Sn (0.999, 0.658, 0.592)

Peak list (8 most intense, 2θ = 15–90°, by angle)
2θ = 28.51°, I 35; 2θ = 29.53°, I 46; 2θ = 31.95°, I 100; 2θ = 35.95°, I 79; 2θ = 45.82°, I 16; 2θ = 46.51°, I 27; 2θ = 51.12°, I 37; 2θ = 61.00°, I 16

---

For Tb6TmSe8, a crystal structure in Alexandria, relaxed with PBE gives the computed powder XRD pattern in this record (CuKα).
Kinematic intensities with the Lorentz-polarization factor, no thermal factor.

a = 8.156 Å, b = 8.156 Å, c = 8.156 Å
α = 60.00°, β = 60.00°, γ = 60.00°
Fractional coordinates of all 15 atoms:
Tb (0.000, 0.000, 0.500)
Tb (0.000, 0.500, 0.000)
Tb (0.000, 0.500, 0.500)
Tb (0.500, 0.000, 0.000)
Tb (0.500, 0.000, 0.500)
Tb (0.500, 0.500, 0.000)
Tm (0.000, 0.000, 0.000)
Se (0.250, 0.250, 0.250)
Se (0.250, 0.250, 0.750)
Se (0.250, 0.750, 0.250)
Se (0.250, 0.750, 0.750)
Se (0.750, 0.250, 0.250)
Se (0.750, 0.250, 0.750)
Se (0.750, 0.750, 0.250)
Se (0.750, 0.750, 0.750)

Peak list (8 most intense, 2θ = 15–90°, by angle)
2θ = 26.77°, I 14; 2θ = 31.01°, I 100; 2θ = 44.43°, I 74; 2θ = 52.63°, I 7; 2θ = 55.17°, I 26; 2θ = 64.64°, I 12; 2θ = 73.42°, I 33; 2θ = 81.81°, I 25

---

For Pm5Y2TmTh, a crystal structure in Alexandria, relaxed with PBE gives the computed powder XRD pattern in this record (CuKα).
Kinematic intensities with the Lorentz-polarization factor, no thermal factor.

a = 10.636 Å, b = 10.636 Å, c = 10.616 Å
α = 90.00°, β = 90.00°, γ = 149.32°
Fractional coordinates of all 18 atoms:
Pm (0.014, 0.986, 0.500)
Pm (0.277, 0.723, 0.793)
Pm (0.292, 0.708, 0.186)
Pm (0.386, 0.614, 0.505)
Pm (0.484, 0.516, 0.229)
Pm (0.516, 0.484, 0.729)
Pm (0.614, 0.386, 0.005)
Pm (0.708, 0.292, 0.686)
Pm (0.723, 0.277, 0.293)
Pm (0.986, 0.014, 0.000)
Y (0.112, 0.888, 0.220)
Y (0.115, 0.885, 0.790)
Y (0.885, 0.115, 0.290)
Y (0.888, 0.112, 0.720)
Tm (0.404, 0.596, 0.947)
Tm (0.596, 0.404, 0.447)
Th (0.201, 0.799, 0.492)
Th (0.799, 0.201, 0.992)

Peak list (8 most intense, 2θ = 15–90°, by angle)
2θ = 27.40°, I 11; 2θ = 30.15°, I 24; 2θ = 31.82°, I 100; 2θ = 33.77°, I 10; 2θ = 47.07°, I 8; 2θ = 56.68°, I 17; 2θ = 58.28°, I 8; 2θ = 61.01°, I 8

---

For LiPmSi2Pt5, a crystal structure in Alexandria, relaxed with PBE gives the computed powder XRD pattern in this record (CuKα).
Kinematic intensities with the Lorentz-polarization factor, no thermal factor.

a = 4.127 Å, b = 4.127 Å, c = 9.156 Å
α = 90.00°, β = 90.00°, γ = 90.00°
Fractional coordinates of all 9 atoms:
Li (0.000, 0.000, 0.000)
Pm (0.000, 0.000, 0.500)
Si (0.500, 0.500, 0.127)
Si (0.500, 0.500, 0.873)
Pt (0.000, 0.500, 0.259)
Pt (0.000, 0.500, 0.741)
Pt (0.500, 0.000, 0.259)
Pt (0.500, 0.000, 0.741)
Pt (0.500, 0.500, 0.500)

Peak list (8 most intense, 2θ = 15–90°, by angle)
2θ = 19.39°, I 17; 2θ = 36.52°, I 100; 2θ = 39.36°, I 18; 2θ = 42.88°, I 13; 2θ = 43.88°, I 34; 2θ = 60.40°, I 21; 2θ = 69.52°, I 15; 2θ = 75.80°, I 25

---

For Ce2P7Rh12, a crystal structure in Alexandria, relaxed with PBE gives the computed powder XRD pattern in this record (CuKα).
Kinematic intensities with the Lorentz-polarization factor, no thermal factor.

a = 9.635 Å, b = 9.635 Å, c = 3.890 Å
α = 90.00°, β = 90.00°, γ = 120.00°
Fractional coordinates of all 21 atoms:
Ce (0.333, 0.667, 0.247)
Ce (0.667, 0.333, 0.753)
P (0.000, 0.000, 0.000)
P (0.116, 0.402, 0.746)
P (0.286, 0.884, 0.746)
P (0.402, 0.286, 0.254)
P (0.598, 0.714, 0.746)
P (0.714, 0.116, 0.254)
P (0.884, 0.598, 0.254)
Rh (0.068, 0.619, 0.749)
Rh (0.111, 0.851, 0.251)
Rh (0.149, 0.260, 0.251)
Rh (0.260, 0.111, 0.749)
Rh (0.381, 0.449, 0.749)
Rh (0.449, 0.068, 0.251)
Rh (0.551, 0.932, 0.749)
Rh (0.619, 0.551, 0.251)
Rh (0.740, 0.889, 0.251)
Rh (0.851, 0.740, 0.749)
Rh (0.889, 0.149, 0.749)
Rh (0.932, 0.381, 0.251)

Peak list (8 most intense, 2θ = 15–90°, by angle)
2θ = 28.30°, I 14; 2θ = 36.68°, I 100; 2θ = 45.61°, I 8; 2θ = 46.70°, I 16; 2θ = 47.50°, I 9; 2θ = 50.10°, I 18; 2θ = 70.89°, I 11; 2θ = 80.00°, I 10

---

For Cs2NaReSe4, a crystal structure in Alexandria, relaxed with PBE gives the computed powder XRD pattern in this record (CuKα).
Kinematic intensities with the Lorentz-polarization factor, no thermal factor.

a = 14.853 Å, b = 13.364 Å, c = 8.004 Å
α = 84.09°, β = 63.50°, γ = 32.41°
Fractional coordinates of all 16 atoms:
Cs (0.055, 0.055, 0.695)
Cs (0.305, 0.305, 0.945)
Cs (0.695, 0.695, 0.055)
Cs (0.945, 0.945, 0.305)
Na (0.125, 0.125, 0.125)
Na (0.875, 0.875, 0.875)
Re (0.375, 0.375, 0.375)
Re (0.625, 0.625, 0.625)
Se (0.027, 0.615, 0.529)
Se (0.328, 0.529, 0.615)
Se (0.385, 0.973, 0.672)
Se (0.471, 0.672, 0.973)
Se (0.529, 0.328, 0.027)
Se (0.615, 0.027, 0.328)
Se (0.672, 0.471, 0.385)
Se (0.973, 0.385, 0.471)

Peak list (8 most intense, 2θ = 15–90°, by angle)
2θ = 15.06°, I 27; 2θ = 17.92°, I 50; 2θ = 23.97°, I 39; 2θ = 24.95°, I 100; 2θ = 28.56°, I 20; 2θ = 29.57°, I 23; 2θ = 34.07°, I 32; 2θ = 46.32°, I 37